Starting from a DFT-relaxed cell (PBE, Alexandria), the PXRD pattern of Dy2TmScO6 was simulated for Cu Kα (weighted mean of Kα1 and Kα2).
Kinematic intensities with the Lorentz-polarization factor, no thermal factor.

Main lines, by intensity (2θ from 5° to 70°):
- 2θ 30.2, I = 100, hkl 1 0 4
- 2θ 31.5, I = 93, hkl 1 1 0
- 2θ 44.2, I = 41, hkl 0 2 4
- 2θ 55.3, I = 40, hkl 2 1 4
- 2θ 48.9, I = 29, hkl 1 1 6
- 2θ 56.1, I = 27, hkl 3 0 0

Cell and atoms:
Cell lengths 5.6790, 5.6790, 14.8190 Å; angles 90.00, 90.00, 120.00 degrees
Space group R3 (No. 146, hexagonal axes)
Inequivalent atoms, fractional coordinates:
Dy 0.0000 0.0000 0.0000 (multiplicity 3)
Dy 0.0000 0.0000 0.4986 (multiplicity 3)
Tm 0.0000 0.0000 0.2810 (multiplicity 3)
Sc 0.0000 0.0000 0.7841 (multiplicity 3)
O 0.0155 0.7202 0.8848 (multiplicity 9)
O 0.0203 0.3821 0.0538 (multiplicity 9)